Simulated powder diffraction line list
Compound: Tb4CdNi
Radiation: Cu Kα (weighted mean of Kα1 and Kα2)
Structure: a crystal structure in the Materials Project, relaxed with PBE

Cell and atoms:
a b c (Å): 9.596 9.596 9.596
angles (deg): 60.00 60.00 60.00
Fractional positions:
Tb: 0.186 0.186 0.814
Tb: 0.186 0.814 0.186
Tb: 0.186 0.814 0.814
Tb: 0.402 0.402 0.402
Tb: 0.402 0.402 0.795
Tb: 0.402 0.795 0.402
Tb: 0.562 0.562 0.938
Tb: 0.562 0.938 0.562
Tb: 0.562 0.938 0.938
Tb: 0.795 0.402 0.402
Tb: 0.814 0.186 0.186
Tb: 0.814 0.186 0.814
Tb: 0.814 0.814 0.186
Tb: 0.938 0.562 0.562
Tb: 0.938 0.562 0.938
Tb: 0.938 0.938 0.562
Cd: 0.169 0.169 0.169
Cd: 0.169 0.169 0.494
Cd: 0.169 0.494 0.169
Cd: 0.494 0.169 0.169
Ni: 0.177 0.608 0.608
Ni: 0.608 0.177 0.608
Ni: 0.608 0.608 0.177
Ni: 0.608 0.608 0.608

Main lines, in order of rising 2θ (2θ = 10–80°):
2θ (°)	I/Imax
28.67	33
32.32	59
34.34	100
37.49	26
51.74	8
55.42	13
57.64	52
58.94	13
68.84	16
70.81	7

Simulated powder diffraction line list
Compound: CaMgPb
Radiation: Cu Kα (weighted mean of Kα1 and Kα2)
Structure: a crystal structure in the Materials Project, relaxed with PBE

Cell and atoms:
a b c (Å): 7.968 4.767 8.945
angles (deg): 90.00 90.00 90.00
Fractional positions:
Ca: 0.019 0.250 0.184
Ca: 0.481 0.750 0.684
Ca: 0.519 0.250 0.316
Ca: 0.981 0.750 0.816
Mg: 0.144 0.250 0.562
Mg: 0.356 0.750 0.062
Mg: 0.644 0.250 0.938
Mg: 0.856 0.750 0.438
Pb: 0.237 0.750 0.383
Pb: 0.263 0.250 0.883
Pb: 0.737 0.750 0.117
Pb: 0.763 0.250 0.617

Main lines, in order of rising 2θ (2θ = 10–80°):
2θ (°)	I/Imax
21.12	40
22.31	42
22.80	100
23.92	95
30.91	87
35.51	40
37.74	31
39.46	34
40.15	32
44.55	36